Structure and calculated X-ray powder pattern of PmFeNi3 (a DFT-relaxed cell (GGA-PBE, Alexandria); λ = 1.5418 Å (Cu Kα)).
No peak broadening, texture or thermal motion is included.

Cell: 6.2306 6.2306 6.2306 Å, 133.42 97.71 100.28°
Fractional positions:
Pm: 0.2966 0.0466 0.2500
Pm: 0.7034 0.9534 0.7500
Fe: 0.0000 0.5000 0.5000
Fe: 0.5000 0.5000 0.0000
Ni: 0.0859 0.3359 0.7500
Ni: 0.2380 0.0000 0.7380
Ni: 0.2380 0.5000 0.2380
Ni: 0.7620 0.0000 0.2620
Ni: 0.7620 0.5000 0.7620
Ni: 0.9141 0.6641 0.2500

Top 12 peaks for 5° ≤ 2θ ≤ 70°, by intensity:
30.50°, I = 100
44.18°, I = 75
30.82°, I = 68
44.55°, I = 60
42.83°, I = 56
43.15°, I = 54
31.27°, I = 44
63.47°, I = 32
35.45°, I = 17
45.43°, I = 13
61.97°, I = 13
64.23°, I = 11

---

Structure and calculated X-ray powder pattern of Ba3RuO5 (a DFT-relaxed cell (GGA-PBE, Alexandria); λ = 1.5418 Å (Cu Kα)).
No peak broadening, texture or thermal motion is included.

Cell: 8.1248 8.1248 8.1248 Å, 126.61 126.61 78.89°
Fractional positions:
Ba: 0.1806 0.6806 0.8613
Ba: 0.2500 0.2500 0.0000
Ba: 0.3194 0.1806 0.5000
Ba: 0.6806 0.8194 0.5000
Ba: 0.7500 0.7500 0.0000
Ba: 0.8194 0.3194 0.1387
Ru: 0.2500 0.7500 0.5000
Ru: 0.7500 0.2500 0.5000
O: 0.0000 0.0000 0.0000
O: 0.0116 0.7858 0.5000
O: 0.2142 0.7142 0.2257
O: 0.2858 0.5116 0.5000
O: 0.4884 0.9884 0.7743
O: 0.5000 0.5000 0.0000
O: 0.5116 0.0116 0.2257
O: 0.7142 0.4884 0.5000
O: 0.7858 0.2858 0.7743
O: 0.9884 0.2142 0.5000

Top 12 peaks for 5° ≤ 2θ ≤ 70°, by intensity:
28.28°, I = 100
34.86°, I = 31
45.54°, I = 27
28.45°, I = 27
34.76°, I = 20
50.28°, I = 16
52.18°, I = 15
56.40°, I = 15
64.36°, I = 13
58.46°, I = 9
39.02°, I = 8
55.36°, I = 5

---

Structure and calculated X-ray powder pattern of Pm2Pr5Dy6 (a DFT-relaxed cell (GGA-PBE, Alexandria); λ = 1.5418 Å (Cu Kα)).
No peak broadening, texture or thermal motion is included.

Cell: 11.7887 20.7469 3.6327 Å, 90.00 90.00 90.00°
Fractional positions:
Pm: 0.1744 0.2163 0.0000
Pm: 0.3256 0.7163 0.0000
Pm: 0.6744 0.2837 0.0000
Pm: 0.8256 0.7837 0.0000
Pr: 0.0000 0.5000 0.5000
Pr: 0.0829 0.7775 0.5000
Pr: 0.1998 0.0526 0.5000
Pr: 0.3002 0.5526 0.5000
Pr: 0.4171 0.2775 0.5000
Pr: 0.5000 0.0000 0.5000
Pr: 0.5829 0.7225 0.5000
Pr: 0.6998 0.4474 0.5000
Pr: 0.8002 0.9474 0.5000
Pr: 0.9171 0.2225 0.5000
Dy: 0.0627 0.9225 0.0000
Dy: 0.0766 0.6343 0.0000
Dy: 0.1796 0.3679 0.5000
Dy: 0.3204 0.8679 0.5000
Dy: 0.4234 0.1343 0.0000
Dy: 0.4373 0.4225 0.0000
Dy: 0.5627 0.5775 0.0000
Dy: 0.5766 0.8657 0.0000
Dy: 0.6796 0.1321 0.5000
Dy: 0.8204 0.6321 0.5000
Dy: 0.9234 0.3657 0.0000
Dy: 0.9373 0.0775 0.0000

Top 12 peaks for 5° ≤ 2θ ≤ 70°, by intensity:
31.69°, I = 100
31.11°, I = 70
30.64°, I = 70
31.00°, I = 52
33.74°, I = 44
36.09°, I = 33
34.55°, I = 28
60.01°, I = 25
50.23°, I = 24
56.12°, I = 23
60.27°, I = 21
51.30°, I = 19